No. 1
For Sr2CoH6Pd, a crystal structure in Alexandria, relaxed with GGA-PBE gives the theoretical PXRD pattern in this record (Cu Kα, 1.54184 Å).
Peak positions follow from Bragg's law for the DFT cell and can differ from measured ones.

Peak list (10 most intense, 2θ from 10° to 90°, by intensity)
2θ/deg, I_rel
33.40, 100
33.98, 95
34.10, 94
59.98, 36
60.22, 35
61.33, 33
47.76, 19
48.14, 18
49.84, 16
83.19, 14

Crystal structure
Lattice parameters (Å, degrees): 5.366 5.282 5.262 61.19 59.59 59.22
Fractional positions:
Sr  0.250  0.250  0.250
Sr  0.750  0.750  0.750
Co  0.000  0.000  0.000
H  0.216  0.216  0.784
H  0.219  0.781  0.219
H  0.232  0.768  0.768
H  0.768  0.232  0.232
H  0.781  0.219  0.781
H  0.784  0.784  0.216
Pd  0.500  0.500  0.500

---

No. 2
For In3PdPt, a crystal structure in Alexandria, relaxed with GGA-PBE gives the theoretical PXRD pattern in this record (Cu Kα, 1.54184 Å).
Peak positions follow from Bragg's law for the DFT cell and can differ from measured ones.

Peak list (10 most intense, 2θ from 10° to 90°, by intensity)
2θ/deg, I_rel
39.05, 100
33.86, 46
41.05, 29
69.90, 22
38.36, 21
21.90, 20
36.71, 17
73.45, 15
57.44, 13
44.66, 11

Crystal structure
Lattice parameters (Å, degrees): 4.397 8.116 5.752 90.00 90.00 90.00
Fractional positions:
In  0.250  0.057  0.241
In  0.250  0.250  0.738
In  0.250  0.443  0.241
In  0.750  0.557  0.759
In  0.750  0.750  0.262
In  0.750  0.943  0.759
Pd  0.250  0.750  0.521
Pd  0.750  0.250  0.479
Pt  0.250  0.750  0.994
Pt  0.750  0.250  0.006

---

No. 3
For CeNdHo4S8, a crystal structure in Alexandria, relaxed with GGA-PBE gives the theoretical PXRD pattern in this record (Cu Kα, 1.54184 Å).
Peak positions follow from Bragg's law for the DFT cell and can differ from measured ones.

Peak list (10 most intense, 2θ from 10° to 90°, by intensity)
2θ/deg, I_rel
25.75, 100
44.36, 38
44.81, 38
25.54, 31
31.12, 26
40.80, 21
40.92, 19
21.76, 19
62.26, 16
40.62, 15

Crystal structure
Lattice parameters (Å, degrees): 8.168 8.168 8.168 59.38 59.38 59.38
Fractional positions:
Ce  0.000  0.000  0.000
Nd  0.626  0.626  0.626
Ho  0.127  0.627  0.627
Ho  0.252  0.252  0.252
Ho  0.627  0.127  0.627
Ho  0.627  0.627  0.127
S  0.376  0.376  0.859
S  0.376  0.859  0.376
S  0.384  0.384  0.384
S  0.409  0.872  0.872
S  0.859  0.376  0.376
S  0.864  0.864  0.864
S  0.872  0.409  0.872
S  0.872  0.872  0.409

---

No. 4
For Y3TmHg6, a crystal structure in Alexandria, relaxed with GGA-PBE gives the theoretical PXRD pattern in this record (Cu Kα, 1.54184 Å).
Peak positions follow from Bragg's law for the DFT cell and can differ from measured ones.

Peak list (10 most intense, 2θ from 10° to 90°, by intensity)
2θ/deg, I_rel
34.64, 100
34.23, 99
49.50, 52
34.88, 51
34.02, 49
61.94, 27
62.39, 19
62.12, 18
61.55, 17
60.75, 15

Crystal structure
Lattice parameters (Å, degrees): 9.134 5.145 11.110 90.00 106.84 90.00
Fractional positions:
Y  0.018  0.250  0.387
Y  0.147  0.750  0.205
Y  0.271  0.250  0.991
Y  0.729  0.750  0.009
Y  0.853  0.250  0.795
Y  0.982  0.750  0.613
Tm  0.440  0.250  0.605
Tm  0.560  0.750  0.395
Hg  0.035  0.750  0.911
Hg  0.156  0.250  0.699
Hg  0.260  0.750  0.495
Hg  0.344  0.250  0.312
Hg  0.357  0.750  0.808
Hg  0.438  0.750  0.110
Hg  0.562  0.250  0.890
Hg  0.643  0.250  0.192
Hg  0.656  0.750  0.688
Hg  0.740  0.250  0.505
Hg  0.844  0.750  0.301
Hg  0.965  0.250  0.089

---

No. 5
For Pr4Nd2Y3, a crystal structure in Alexandria, relaxed with GGA-PBE gives the theoretical PXRD pattern in this record (Cu Kα, 1.54184 Å).
Peak positions follow from Bragg's law for the DFT cell and can differ from measured ones.

Peak list (10 most intense, 2θ from 10° to 90°, by intensity)
2θ/deg, I_rel
29.88, 100
34.57, 34
59.09, 21
49.73, 18
49.85, 18
34.76, 17
59.32, 14
62.07, 12
59.04, 7
80.75, 6

Crystal structure
Lattice parameters (Å, degrees): 6.336 6.336 10.972 106.49 106.49 48.33
Fractional positions:
Pr  0.001  0.001  0.334
Pr  0.334  0.334  0.112
Pr  0.666  0.666  0.888
Pr  0.999  0.999  0.666
Nd  0.333  0.333  0.776
Nd  0.667  0.667  0.224
Y  0.000  0.000  0.000
Y  0.334  0.334  0.446
Y  0.666  0.666  0.554

---

No. 6
For LiMg2Cr, a crystal structure in Alexandria, relaxed with GGA-PBE gives the theoretical PXRD pattern in this record (Cu Kα, 1.54184 Å).
Peak positions follow from Bragg's law for the DFT cell and can differ from measured ones.

Peak list (10 most intense, 2θ from 10° to 90°, by intensity)
2θ/deg, I_rel
36.33, 100
23.41, 33
43.08, 30
19.88, 24
74.55, 21
60.53, 20
40.39, 18
30.10, 17
70.80, 12
37.01, 9

Crystal structure
Lattice parameters (Å, degrees): 5.363 5.363 5.363 133.91 133.91 67.24
Fractional positions:
Li  0.000  0.000  0.000
Mg  0.250  0.750  0.500
Mg  0.500  0.500  0.000
Cr  0.750  0.250  0.500